1.
Ce2Er5Ge4: theoretical XRD peak list (Cu Kα, 1.54184 Å), based on a cell relaxed with GGA-PBE.

Top 10 peaks for 2θ from 5° to 70°, in order of rising 2θ:
2theta	I/Imax	index
25.84	408	0 0 2
26.20	392	1 1 0
26.44	393	2 0 -2
28.16	520	8 0 0
30.43	942	8 0 -1
31.20	961	3 1 1
31.47	406	5 1 0
33.76	474	5 1 -1
34.43	1000	6 0 2
37.26	706	1 1 2

Structural model:
a b c (Å): 25.3813 3.4327 6.9042
angles (deg): 90.00 92.97 90.00
Space group C2/m (No. 12)
Symmetry-distinct sites (fractional):
Ce  0.0957  0.0000  0.2059 [4 per cell]
Er  0.0000  0.5000  0.5000 [2 per cell]
Er  0.1310  0.0000  0.6951 [4 per cell]
Er  0.2383  0.0000  0.2644 [4 per cell]
Ge  0.0245  0.0000  0.8421 [4 per cell]
Ge  0.1759  0.5000  0.0000 [4 per cell]

***

2.
K4Rb2I3Cl2: theoretical XRD peak list (Cu Kα, 1.54184 Å), based on a cell relaxed with GGA-PBE.

Top 10 peaks for 2θ from 5° to 70°, in order of rising 2θ:
2theta	I/Imax	index
14.97	307	1 0 1
20.78	640	1 1 0
21.69	180	1 1 2
26.25	1000	1 0 7
27.98	609	1 1 6
29.55	790	2 0 0
39.93	635	2 1 7
42.28	283	2 2 0
51.47	213	3 1 6
59.56	191	3 2 7

Structural model:
a b c (Å): 6.0457 6.0457 28.7174
angles (deg): 90.00 90.00 90.00
Space group I4/mmm (No. 139)
Symmetry-distinct sites (fractional):
K  0.0000  0.5000  0.0828 [8 per cell]
Rb  0.0000  0.0000  0.2087 [4 per cell]
I  0.0000  0.0000  0.3424 [4 per cell]
I  0.0000  0.0000  0.5000 [2 per cell]
Cl  0.0000  0.0000  0.0925 [4 per cell]

***

3.
HfTi: theoretical XRD peak list (Cu Kα, 1.54184 Å), based on a cell relaxed with GGA-PBE.

Top 10 peaks for 2θ from 5° to 70°, in order of rising 2θ:
2theta	I/Imax	index
19.21	954	2 0 -1
30.23	417	1 1 0
32.22	311	2 0 1
33.52	359	1 1 -1
34.01	309	2 0 -2
36.87	684	4 0 0
38.32	969	1 1 1
38.47	1000	3 1 -1
38.68	401	0 0 2
38.99	362	4 0 -2

Structural model:
a b c (Å): 11.0429 3.1024 5.2721
angles (deg): 90.00 117.99 90.00
Space group C2/m (No. 12)
Symmetry-distinct sites (fractional):
Hf  0.1212  0.0000  0.2995 [4 per cell]
Ti  0.1302  0.5000  0.7988 [4 per cell]

***

4.
Na2LaCeTi4O12: theoretical XRD peak list (Cu Kα, 1.54184 Å), based on a cell relaxed with GGA-PBE.

Top 10 peaks for 2θ from 5° to 70°, in order of rising 2θ:
2theta	I/Imax	index
19.81	596	0 0 2
32.62	1000	2 0 2
38.44	265	1 1 3
40.20	118	0 0 4
46.81	382	2 2 2
51.25	107	1 1 -5
58.17	331	2 0 -6
58.35	96	5 1 1
68.25	91	0 4 0
68.45	108	4 0 4

Structural model:
a b c (Å): 9.4891 5.4972 9.5196
angles (deg): 90.00 109.55 90.00
Space group C2 (No. 5)
Symmetry-distinct sites (fractional):
Na  0.2494  0.0000  0.2519 [4 per cell]
La  0.0000  0.0014  0.5000 [2 per cell]
Ce  0.0000  0.4988  0.0000 [2 per cell]
Ti  0.1262  0.5023  0.3745 [4 per cell]
Ti  0.1276  0.9978  0.8768 [4 per cell]
O  0.0005  0.2850  0.2132 [4 per cell]
O  0.0000  0.4409  0.5000 [2 per cell]
O  0.0000  0.9237  0.0000 [2 per cell]
O  0.0006  0.7832  0.2813 [4 per cell]
O  0.2485  0.2183  0.0311 [4 per cell]
O  0.2483  0.2222  0.4716 [4 per cell]
O  0.2502  0.0596  0.7515 [4 per cell]

***

5.
Sr2Sc2Bi2S: theoretical XRD peak list (Cu Kα, 1.54184 Å), based on a cell relaxed with GGA-PBE.

Top 10 peaks for 2θ from 5° to 70°, in order of rising 2θ:
2theta	I/Imax	index
18.70	394	1 0 1
20.63	335	0 0 4
25.51	939	1 1 0
31.67	749	1 0 5
33.03	1000	1 1 4
36.39	676	2 0 0
42.20	236	2 0 4
49.00	445	2 1 5
52.42	236	2 2 0
63.36	311	3 1 4

Structural model:
a b c (Å): 4.9374 4.9374 17.2248
angles (deg): 90.00 90.00 90.00
Space group I4/mmm (No. 139)
Symmetry-distinct sites (fractional):
Sr  0.0000  0.0000  0.1717 [4 per cell]
Sc  0.0000  0.5000  0.0000 [4 per cell]
Bi  0.0000  0.0000  0.3754 [4 per cell]
S  0.0000  0.0000  0.0000 [2 per cell]

***

6.
BeP2N4: theoretical XRD peak list (Cu Kα, 1.54184 Å), based on a cell relaxed with GGA-PBE.

Top 10 peaks for 2θ from 5° to 70°, in order of rising 2θ:
2theta	I/Imax	index
13.86	393	1 1 0
22.67	222	0 1 2
23.78	680	2 1 1
24.13	343	3 0 0
27.94	1000	2 2 0
35.03	900	1 1 3
37.25	766	1 4 0
42.99	200	2 2 3
54.14	366	3 3 3
66.91	165	0 0 6

Structural model:
a b c (Å): 12.7744 12.7744 8.3899
angles (deg): 90.00 90.00 120.00
Space group R-3 (No. 148, hexagonal axes)
Symmetry-distinct sites (fractional):
Be  0.0181  0.2116  0.2498 [18 per cell]
P  0.0133  0.2095  0.9172 [18 per cell]
P  0.0185  0.2128  0.5828 [18 per cell]
N  0.0008  0.6632  0.7508 [18 per cell]
N  0.0805  0.2040  0.7516 [18 per cell]
N  0.0893  0.2114  0.0750 [18 per cell]
N  0.0943  0.2123  0.4250 [18 per cell]